Record 1
This entry pairs a crystal structure of TbPrIn2Ni4 with its calculated X-ray diffraction stick pattern. Radiation: Cu Kα (weighted mean of Kα1 and Kα2). Structure: a structure optimized by DFT (GGA-PBE).
Kinematic intensities with the Lorentz-polarization factor, no thermal factor.

Atomic structure:
a = 4.055 Å, b = 5.183 Å, c = 7.118 Å
α = 90.00°, β = 90.00°, γ = 90.00°
Element x y z (fractional)
Tb  0.000  0.000  0.000
Pr  0.000  0.500  0.456
In  0.500  0.000  0.382
In  0.500  0.500  0.075
Ni  0.000  0.000  0.625
Ni  0.000  0.500  0.842
Ni  0.500  0.246  0.735
Ni  0.500  0.754  0.735

Most intense lines, 5° ≤ 2θ ≤ 70°, in order of rising 2θ:
2θ/deg, d [Å], I_rel
30.68, 2.914, 1000
33.50, 2.675, 232
34.61, 2.592, 314
37.86, 2.376, 788
41.88, 2.157, 261
43.18, 2.095, 264
43.34, 2.088, 244
44.69, 2.028, 337
47.75, 1.905, 193
59.60, 1.551, 152
62.90, 1.477, 152
63.89, 1.457, 160

***

Record 2
This entry pairs a crystal structure of Sr2In4NiPt with its calculated X-ray diffraction stick pattern. Radiation: Cu Kα (weighted mean of Kα1 and Kα2). Structure: a structure optimized by DFT (GGA-PBE).
Kinematic intensities with the Lorentz-polarization factor, no thermal factor.

Atomic structure:
a = 7.962 Å, b = 5.964 Å, c = 5.964 Å
α = 43.95°, β = 90.00°, γ = 90.00°
Element x y z (fractional)
Sr  0.000  0.000  0.000
Sr  0.500  0.117  0.117
In  0.189  0.711  0.711
In  0.296  0.401  0.401
In  0.704  0.401  0.401
In  0.811  0.711  0.711
Ni  0.000  0.277  0.277
Pt  0.500  0.836  0.836

Most intense lines, 5° ≤ 2θ ≤ 70°, in order of rising 2θ:
2θ/deg, d [Å], I_rel
16.03, 5.531, 436
19.54, 4.542, 181
31.17, 2.869, 851
31.47, 2.843, 365
33.47, 2.677, 636
34.33, 2.612, 365
37.59, 2.393, 221
38.93, 2.313, 436
39.69, 2.271, 255
40.39, 2.233, 1000
54.05, 1.697, 197
62.33, 1.490, 185